Record 1
For GdPuAu2, a PBE-relaxed structure gives the computed powder diffractogram in this record (a wavelength of 1.5418 Å).
Kinematic intensities with the Lorentz-polarization factor, no thermal factor.

Crystal structure
Cell lengths 5.217, 5.217, 3.539 Å; angles 90.00, 90.00, 90.00 degrees
Space group P4/mmm (No. 123)
One atom of each set of equivalent atoms:
Gd: 0.000 0.000 0.000 (multiplicity 1)
Pu: 0.500 0.500 0.000 (multiplicity 1)
Au: 0.000 0.500 0.500 (multiplicity 2)

Most intense lines, 2θ from 5° to 70°, in order of falling intensity:
2theta, intensity, (hkl)
35.1, 100, 1 1 1
34.4, 53, 2 0 0
62.1, 39, 3 1 1
49.4, 19, 2 2 0
63.5, 18, 2 0 2
51.7, 9, 0 0 2
17.0, 3, 1 0 0
30.5, 1, 1 0 1
46.6, 1, 2 1 1
38.6, 1, 2 1 0

Record 2
For GdRhAu, a PBE-relaxed structure gives the computed powder diffractogram in this record (a wavelength of 1.5418 Å).
Kinematic intensities with the Lorentz-polarization factor, no thermal factor.

Crystal structure
Cell lengths 3.597, 3.597, 9.316 Å; angles 90.00, 90.00, 90.00 degrees
Space group I4mm (No. 107)
One atom of each set of equivalent atoms:
Gd: 0.000 0.000 0.000 (multiplicity 2)
Rh: 0.000 0.000 0.658 (multiplicity 2)
Au: 0.000 0.000 0.321 (multiplicity 2)

Most intense lines, 2θ from 5° to 70°, in order of falling intensity:
2theta, intensity, (hkl)
38.3, 100, 1 0 3
35.3, 63, 1 1 0
65.3, 42, 2 1 3
50.8, 23, 2 0 0
26.6, 10, 1 0 1
59.5, 7, 0 0 6
53.3, 3, 1 1 4
58.2, 3, 2 1 1
19.1, 2, 0 0 2
38.7, 2, 0 0 4

Record 3
For Gd3Sb4Au3, a PBE-relaxed structure gives the computed powder diffractogram in this record (a wavelength of 1.5418 Å).
Kinematic intensities with the Lorentz-polarization factor, no thermal factor.

Crystal structure
Cell lengths 10.001, 10.001, 10.001 Å; angles 90.00, 90.00, 90.00 degrees
Space group I-43d (No. 220)
One atom of each set of equivalent atoms:
Gd: 0.000 0.250 0.875 (multiplicity 12)
Sb: 0.088 0.412 0.588 (multiplicity 16)
Au: 0.000 0.250 0.375 (multiplicity 12)

Most intense lines, 2θ from 5° to 70°, in order of falling intensity:
2theta, intensity, (hkl)
33.5, 100, 3 2 1
40.3, 49, 4 2 0
21.8, 23, 2 1 1
49.9, 17, 5 2 1
44.4, 14, 4 2 2
69.0, 12, 5 5 2
64.6, 12, 4 4 4
46.3, 12, 5 1 0
25.2, 11, 2 2 0
67.5, 11, 6 4 0

Record 4
For GdZn4Au, a PBE-relaxed structure gives the computed powder diffractogram in this record (a wavelength of 1.5418 Å).
Kinematic intensities with the Lorentz-polarization factor, no thermal factor.

Crystal structure
Cell lengths 7.538, 7.538, 7.538 Å; angles 90.00, 90.00, 90.00 degrees
Space group F-43m (No. 216)
One atom of each set of equivalent atoms:
Gd: 0.000 0.000 0.000 (multiplicity 4)
Zn: 0.125 0.125 0.625 (multiplicity 16)
Au: 0.250 0.250 0.250 (multiplicity 4)

Most intense lines, 2θ from 5° to 70°, in order of falling intensity:
2theta, intensity, (hkl)
39.7, 100, 3 1 1
33.6, 63, 2 2 0
64.2, 32, 5 1 1
60.1, 24, 4 2 2
41.5, 16, 2 2 2
20.4, 13, 1 1 1
52.9, 4, 3 3 1
23.6, 1, 2 0 0
54.4, 1, 4 2 0

Record 5
For Ge5Au7, a PBE-relaxed structure gives the computed powder diffractogram in this record (a wavelength of 1.5418 Å).
Kinematic intensities with the Lorentz-polarization factor, no thermal factor.

Crystal structure
Cell lengths 13.041, 3.307, 11.098 Å; angles 90.00, 102.20, 90.00 degrees
Space group C2/m (No. 12)
One atom of each set of equivalent atoms:
Ge: 0.000 0.000 0.000 (multiplicity 2)
Ge: 0.163 0.000 0.509 (multiplicity 4)
Ge: 0.182 0.500 0.212 (multiplicity 4)
Au: 0.000 0.500 0.500 (multiplicity 2)
Au: 0.035 0.000 0.264 (multiplicity 4)
Au: 0.150 0.500 0.724 (multiplicity 4)
Au: 0.157 0.500 0.976 (multiplicity 4)

Most intense lines, 2θ from 5° to 70°, in order of falling intensity:
2theta, intensity, (hkl)
34.3, 100, 3 1 -1
33.0, 57, 0 0 4
45.4, 36, 3 1 3
42.5, 27, 6 0 0
45.0, 26, 3 1 -4
14.6, 25, 2 0 -1
36.2, 21, 3 1 -2
48.5, 20, 6 0 -4
55.6, 17, 0 2 0
66.2, 16, 0 2 4

Record 6
For GeAu12, a PBE-relaxed structure gives the computed powder diffractogram in this record (a wavelength of 1.5418 Å).
Kinematic intensities with the Lorentz-polarization factor, no thermal factor.

Crystal structure
Cell lengths 7.837, 7.837, 7.837 Å; angles 90.00, 90.00, 90.00 degrees
Space group Im-3 (No. 204)
One atom of each set of equivalent atoms:
Ge: 0.000 0.000 0.000 (multiplicity 2)
Au: 0.000 0.185 0.313 (multiplicity 24)

Most intense lines, 2θ from 5° to 70°, in order of falling intensity:
2theta, intensity, (hkl)
36.2, 100, 3 1 0
43.2, 67, 3 2 1
39.8, 31, 2 2 2
32.3, 23, 2 2 0
55.0, 9, 3 3 2
60.2, 9, 5 1 0
52.2, 7, 4 0 2
49.3, 7, 3 3 0
46.3, 7, 4 0 0
57.6, 5, 4 2 2

Record 7
For Ge2Au5, a PBE-relaxed structure gives the computed powder diffractogram in this record (a wavelength of 1.5418 Å).
Kinematic intensities with the Lorentz-polarization factor, no thermal factor.

Crystal structure
Cell lengths 15.973, 5.932, 5.833 Å; angles 90.00, 98.54, 90.00 degrees
Space group C2/c (No. 15)
One atom of each set of equivalent atoms:
Ge: 0.112 0.127 0.377 (multiplicity 8)
Au: 0.000 0.175 0.750 (multiplicity 4)
Au: 0.100 0.473 0.068 (multiplicity 8)
Au: 0.240 0.059 0.145 (multiplicity 8)

Most intense lines, 2θ from 5° to 70°, in order of falling intensity:
2theta, intensity, (hkl)
36.5, 100, 3 1 -2
40.8, 76, 3 1 2
32.1, 66, 5 1 0
36.6, 62, 2 2 1
46.1, 49, 6 2 0
30.1, 48, 0 2 0
28.8, 41, 3 1 1
34.0, 39, 6 0 0
44.1, 38, 2 2 -2
35.8, 35, 1 1 2

Record 8
For GeAu6, a PBE-relaxed structure gives the computed powder diffractogram in this record (a wavelength of 1.5418 Å).
Kinematic intensities with the Lorentz-polarization factor, no thermal factor.

Crystal structure
Cell lengths 7.447, 7.447, 7.447 Å; angles 90.00, 90.00, 90.00 degrees
Space group Im-3m (No. 229)
One atom of each set of equivalent atoms:
Ge: 0.000 0.000 0.000 (multiplicity 2)
Au: 0.000 0.250 0.500 (multiplicity 12)

Most intense lines, 2θ from 5° to 70°, in order of falling intensity:
2theta, intensity, (hkl)
29.4, 100, 2 1 1
16.8, 84, 1 1 0
42.0, 72, 2 2 2
45.6, 61, 3 2 1
48.9, 45, 4 0 0
23.9, 42, 2 0 0
38.2, 23, 3 1 0
69.1, 18, 5 2 1
55.2, 17, 4 2 0
63.7, 16, 5 1 0